Record 1
Theoretical powder X-ray diffraction pattern of Be6Co2B2Ru for Cu Ka, from a structure optimized by DFT (GGA-PBE).
Peak positions follow from Bragg's law for the DFT cell and can differ from measured ones.

The 12 most intense peaks (10° ≤ 2θ ≤ 80°), by angle:
2θ (°)  I/Imax
18.64  6.5
22.33  52.4
29.24  11.5
32.58  89.3
39.86  100.0
45.57  11.9
57.13  40.6
58.14  23.8
63.07  17.8
68.25  9.2
72.81  15.6
76.82  13.7

Atomic structure:
Cell: 5.497 5.497 3.982 Å, 90.00 90.00 120.00°
Positions (direct):
Be: 0.000 0.336 0.350
Be: 0.000 0.664 0.650
Be: 0.336 0.000 0.350
Be: 0.336 0.336 0.650
Be: 0.664 0.000 0.650
Be: 0.664 0.664 0.350
Co: 0.333 0.667 0.000
Co: 0.667 0.333 0.000
B: 0.333 0.667 0.500
B: 0.667 0.333 0.500
Ru: 0.000 0.000 0.000

***

Record 2
Theoretical powder X-ray diffraction pattern of HgSb2Ru for Cu Ka, from a structure optimized by DFT (GGA-PBE).
Peak positions follow from Bragg's law for the DFT cell and can differ from measured ones.

The 12 most intense peaks (10° ≤ 2θ ≤ 80°), by angle:
2θ (°)  I/Imax
19.18  13.6
28.94  26.0
29.38  18.0
29.49  17.8
33.87  33.3
34.01  100.0
39.68  61.2
48.53  20.4
49.80  11.8
57.26  13.5
57.50  19.6
68.40  17.5

Atomic structure:
Cell: 3.219 3.205 9.256 Å, 90.00 90.19 90.00°
Positions (direct):
Hg: 0.000 0.000 0.000
Sb: 0.498 0.500 0.319
Sb: 0.502 0.500 0.681
Ru: 0.000 0.000 0.500

***

Record 3
Theoretical powder X-ray diffraction pattern of Rb2TaF7 for Cu Ka, from a structure optimized by DFT (GGA-PBE).
Peak positions follow from Bragg's law for the DFT cell and can differ from measured ones.

The 12 most intense peaks (10° ≤ 2θ ≤ 80°), by angle:
2θ (°)  I/Imax
14.72  37.9
15.18  33.0
17.85  20.9
22.79  49.0
23.26  76.0
23.70  85.4
27.39  100.0
38.62  22.5
38.81  19.6
42.36  28.7
43.48  22.2
45.90  27.8

Atomic structure:
Cell: 7.980 7.980 9.967 Å, 124.90 124.90 53.69°
Positions (direct):
Rb: 0.110 0.258 0.273
Rb: 0.258 0.110 0.773
Rb: 0.742 0.890 0.227
Rb: 0.890 0.742 0.727
Ta: 0.386 0.614 0.250
Ta: 0.614 0.386 0.750
F: 0.105 0.895 0.250
F: 0.184 0.544 0.247
F: 0.244 0.565 0.999
F: 0.283 0.497 0.644
F: 0.435 0.756 0.501
F: 0.456 0.816 0.253
F: 0.497 0.283 0.144
F: 0.503 0.717 0.856
F: 0.544 0.184 0.747
F: 0.565 0.244 0.499
F: 0.717 0.503 0.356
F: 0.756 0.435 0.001
F: 0.816 0.456 0.753
F: 0.895 0.105 0.750

***

Record 4
Theoretical powder X-ray diffraction pattern of K4Ta3NbO12 for Cu Ka, from a structure optimized by DFT (GGA-PBE).
Peak positions follow from Bragg's law for the DFT cell and can differ from measured ones.

The 12 most intense peaks (10° ≤ 2θ ≤ 80°), by angle:
2θ (°)  I/Imax
18.22  2.2
19.04  2.8
22.02  65.1
31.34  100.0
38.63  5.5
44.91  33.1
50.56  28.9
55.78  39.2
65.39  19.8
69.91  13.7
74.30  16.8
78.60  3.5

Atomic structure:
Cell: 9.888 9.888 9.888 Å, 33.56 33.56 33.56°
Positions (direct):
K: 0.125 0.125 0.125
K: 0.375 0.375 0.375
K: 0.625 0.625 0.625
K: 0.875 0.875 0.875
Ta: 0.250 0.250 0.250
Ta: 0.500 0.500 0.500
Ta: 0.750 0.750 0.750
Nb: 0.000 0.000 0.000
O: 0.125 0.125 0.623
O: 0.125 0.623 0.125
O: 0.125 0.625 0.625
O: 0.375 0.375 0.875
O: 0.375 0.875 0.375
O: 0.377 0.875 0.875
O: 0.623 0.125 0.125
O: 0.625 0.125 0.625
O: 0.625 0.625 0.125
O: 0.875 0.375 0.375
O: 0.875 0.377 0.875
O: 0.875 0.875 0.377

***

Record 5
Theoretical powder X-ray diffraction pattern of Ba2PmPaS6 for Cu Ka, from a structure optimized by DFT (GGA-PBE).
Peak positions follow from Bragg's law for the DFT cell and can differ from measured ones.

The 12 most intense peaks (10° ≤ 2θ ≤ 80°), by angle:
2θ (°)  I/Imax
16.88  16.4
23.41  22.6
23.98  100.0
24.44  23.6
34.10  30.1
34.24  18.8
41.50  15.5
41.90  13.0
42.52  14.3
42.73  29.5
49.10  17.7
55.46  11.1

Atomic structure:
Cell: 7.285 7.599 12.755 Å, 90.00 124.80 90.00°
Positions (direct):
Ba: 0.231 0.065 0.250
Ba: 0.231 0.435 0.750
Ba: 0.769 0.565 0.250
Ba: 0.769 0.935 0.750
Pm: 0.500 0.000 0.000
Pm: 0.500 0.500 0.500
Pa: 0.000 0.000 0.500
Pa: 0.000 0.500 0.000
S: 0.143 0.211 0.949
S: 0.143 0.289 0.449
S: 0.243 0.696 0.952
S: 0.243 0.804 0.452
S: 0.336 0.026 0.743
S: 0.336 0.474 0.243
S: 0.664 0.526 0.757
S: 0.664 0.974 0.257
S: 0.757 0.196 0.548
S: 0.757 0.304 0.048
S: 0.857 0.711 0.551
S: 0.857 0.789 0.051

***

Record 6
Theoretical powder X-ray diffraction pattern of SnSb2Au6 for Cu Ka, from a structure optimized by DFT (GGA-PBE).
Peak positions follow from Bragg's law for the DFT cell and can differ from measured ones.

The 12 most intense peaks (10° ≤ 2θ ≤ 80°), by angle:
2θ (°)  I/Imax
26.82  23.0
28.85  100.0
29.90  52.4
35.12  23.5
37.95  29.9
38.69  44.9
39.26  29.0
39.41  29.1
40.66  51.7
41.36  27.9
43.16  22.6
43.37  35.4

Atomic structure:
Cell: 9.602 7.287 10.938 Å, 59.66 40.91 79.43°
Positions (direct):
Sn: 0.000 0.000 0.000
Sn: 0.250 0.250 0.250
Sb: 0.041 0.638 0.848
Sb: 0.402 0.778 0.209
Sb: 0.638 0.041 0.472
Sb: 0.778 0.402 0.612
Au: 0.108 0.288 0.070
Au: 0.180 0.434 0.631
Au: 0.180 0.716 0.142
Au: 0.288 0.108 0.534
Au: 0.434 0.180 0.755
Au: 0.495 0.619 0.816
Au: 0.525 0.805 0.397
Au: 0.619 0.495 0.070
Au: 0.716 0.180 0.962
Au: 0.805 0.525 0.273
Au: 0.853 0.977 0.725
Au: 0.977 0.853 0.445

***

Record 7
Theoretical powder X-ray diffraction pattern of Ce2Ho2ZnSi4 for Cu Ka, from a structure optimized by DFT (GGA-PBE).
Peak positions follow from Bragg's law for the DFT cell and can differ from measured ones.

The 12 most intense peaks (10° ≤ 2θ ≤ 80°), by angle:
2θ (°)  I/Imax
20.83  26.8
26.00  98.7
27.86  24.4
33.54  100.0
34.14  37.1
37.09  77.9
42.92  17.7
43.41  35.7
53.47  26.9
58.39  16.5
60.39  19.4
64.61  29.8

Atomic structure:
Cell: 6.457 6.457 6.457 Å, 115.87 115.87 97.31°
Positions (direct):
Ce: 0.182 0.182 0.000
Ce: 0.818 0.818 0.000
Ho: 0.250 0.750 0.500
Ho: 0.750 0.250 0.500
Zn: 0.500 0.500 0.000
Si: 0.257 0.257 0.514
Si: 0.257 0.743 0.000
Si: 0.743 0.257 0.000
Si: 0.743 0.743 0.486

***

Record 8
Theoretical powder X-ray diffraction pattern of NdSmDy2 for Cu Ka, from a structure optimized by DFT (GGA-PBE).
Peak positions follow from Bragg's law for the DFT cell and can differ from measured ones.

The 12 most intense peaks (10° ≤ 2θ ≤ 80°), by angle:
2θ (°)  I/Imax
29.56  47.7
30.81  35.1
32.50  100.0
36.94  26.4
48.85  12.0
50.51  26.6
55.87  21.5
59.62  6.6
60.35  31.2
61.36  16.2
64.20  9.6
78.64  7.9

Atomic structure:
Cell: 3.614 3.614 11.607 Å, 90.00 90.00 120.00°
Positions (direct):
Nd: 0.000 0.000 0.000
Sm: 0.000 0.000 0.500
Dy: 0.333 0.667 0.251
Dy: 0.667 0.333 0.749

***

Record 9
Theoretical powder X-ray diffraction pattern of Be2Si2Tc for Cu Ka, from a structure optimized by DFT (GGA-PBE).
Peak positions follow from Bragg's law for the DFT cell and can differ from measured ones.

The 12 most intense peaks (10° ≤ 2θ ≤ 80°), by angle:
2θ (°)  I/Imax
13.27  24.2
18.89  37.2
21.65  100.0
26.72  56.8
32.55  25.3
33.08  29.2
33.54  58.6
42.18  21.8
44.21  39.2
45.65  39.7
46.20  38.4
48.11  39.7

Atomic structure:
Cell: 3.092 5.846 6.784 Å, 81.93 83.05 87.03°
Positions (direct):
Be: 0.216 0.137 0.020
Be: 0.268 0.388 0.465
Be: 0.732 0.612 0.535
Be: 0.784 0.863 0.980
Si: 0.153 0.502 0.828
Si: 0.220 0.892 0.646
Si: 0.780 0.108 0.354
Si: 0.847 0.498 0.172
Tc: 0.289 0.790 0.289
Tc: 0.711 0.210 0.711

***

Record 10
Theoretical powder X-ray diffraction pattern of Mg2Si for Cu Ka, from a structure optimized by DFT (GGA-PBE).
Peak positions follow from Bragg's law for the DFT cell and can differ from measured ones.

The 12 most intense peaks (10° ≤ 2θ ≤ 80°), by angle:
2θ (°)  I/Imax
30.31  26.0
33.00  90.8
33.59  25.8
38.91  20.4
40.12  100.0
43.39  71.7
44.79  32.7
59.68  22.0
63.04  22.6
64.12  21.8
71.60  17.6
77.40  27.2

Atomic structure:
Cell: 4.171 4.171 6.943 Å, 90.00 90.00 90.00°
Positions (direct):
Mg: 0.250 0.250 0.141
Mg: 0.250 0.750 0.500
Mg: 0.750 0.250 0.500
Mg: 0.750 0.750 0.859
Si: 0.250 0.250 0.755
Si: 0.750 0.750 0.245

***

Record 11
Theoretical powder X-ray diffraction pattern of Al2FeAu for Cu Ka, from a structure optimized by DFT (GGA-PBE).
Peak positions follow from Bragg's law for the DFT cell and can differ from measured ones.

The 12 most intense peaks (10° ≤ 2θ ≤ 80°), by angle:
2θ (°)  I/Imax
23.45  43.1
25.75  63.5
32.58  38.6
40.53  100.0
42.66  17.8
46.74  33.1
47.97  15.3
52.94  19.7
54.13  18.3
59.19  14.0
65.12  10.9
69.22  20.3

Atomic structure:
Cell: 4.684 4.684 4.684 Å, 130.97 130.97 71.85°
Positions (direct):
Al: 0.250 0.750 0.500
Al: 0.750 0.250 0.500
Fe: 0.000 0.000 0.000
Au: 0.500 0.500 0.000

***

Record 12
Theoretical powder X-ray diffraction pattern of Sr8Pt3Br3N for Cu Ka, from a structure optimized by DFT (GGA-PBE).
Peak positions follow from Bragg's law for the DFT cell and can differ from measured ones.

The 12 most intense peaks (10° ≤ 2θ ≤ 80°), by angle:
2θ (°)  I/Imax
11.37  42.4
14.05  14.4
28.31  100.0
36.04  13.3
39.13  31.1
41.77  36.4
43.43  9.3
49.35  10.2
51.23  17.7
58.57  9.2
64.42  8.6
68.16  14.2

Atomic structure:
Cell: 8.650 8.650 9.250 Å, 117.92 117.92 59.98°
Positions (direct):
Sr: 0.214 0.214 0.690
Sr: 0.214 0.761 0.689
Sr: 0.239 0.786 0.311
Sr: 0.262 0.262 0.286
Sr: 0.738 0.738 0.714
Sr: 0.761 0.214 0.689
Sr: 0.786 0.239 0.311
Sr: 0.786 0.786 0.310
Pt: 0.000 0.500 0.500
Pt: 0.500 0.000 0.500
Pt: 0.500 0.500 0.500
Br: 0.000 0.000 0.000
Br: 0.000 0.500 0.000
Br: 0.500 0.000 0.000
N: 0.000 0.000 0.500